Starting from a PBE-relaxed structure, the powder X-ray diffraction pattern of AcNiH3 was simulated for CuKα.
No peak broadening, texture or thermal motion is included.

```
10
Lattice="4.9424 0.0000 0.0000 0.0000 5.0210 0.0000 -1.4208 0.0000 4.8741" Properties=species:S:1:pos:R:3 pbc="T T T"
Ac 0.5159 1.2553 1.4732
Ac 3.0057 3.7658 3.4009
Ni 2.1428 3.7658 0.3452
Ni 1.3788 1.2553 4.5289
H 0.8974 3.7658 1.4114
H 0.3781 2.5317 3.9867
H 0.3781 4.9998 3.9867
H 3.1435 0.0212 0.8874
H 3.1435 2.4893 0.8874
H 2.6242 1.2553 3.4627
```

The 12 most intense peaks (10 to 80 degrees two-theta), low angle first:
d (Å), 2θ (°), I (rel.)
4.006, 22.2, 29
3.497, 25.5, 96
3.449, 25.8, 100
3.132, 28.5, 79
3.005, 29.7, 84
2.511, 35.8, 52
2.466, 36.4, 28
2.416, 37.2, 30
2.214, 40.8, 27
2.192, 41.2, 30
2.145, 42.1, 28
1.927, 47.2, 49

***

Starting from a PBE-relaxed structure, the powder X-ray diffraction pattern of NaSm2Zn was simulated for CuKα.
No peak broadening, texture or thermal motion is included.

```
4
Lattice="3.6496 0.0000 0.0000 0.0000 3.6496 0.0000 0.0000 0.0000 8.8757" Properties=species:S:1:pos:R:3 pbc="T T T"
Na 0.0000 0.0000 0.0000
Sm 1.8248 1.8248 2.7130
Sm 1.8248 1.8248 6.1627
Zn 0.0000 0.0000 4.4379
```

The 12 most intense peaks (10 to 80 degrees two-theta), low angle first:
d (Å), 2θ (°), I (rel.)
4.438, 20.0, 13
3.650, 24.4, 38
2.959, 30.2, 12
2.819, 31.7, 100
2.581, 34.8, 58
2.478, 36.3, 15
2.298, 39.2, 50
1.945, 46.7, 15
1.825, 50.0, 21
1.532, 60.4, 31
1.463, 63.6, 15
1.429, 65.3, 22

***

Starting from a PBE-relaxed structure, the powder X-ray diffraction pattern of Cs2HfTlSe4 was simulated for CuKα.
No peak broadening, texture or thermal motion is included.

```
16
Lattice="0.0000 7.5551 12.7641 3.5283 0.0000 12.7641 3.5283 7.5551 0.0000" Properties=species:S:1:pos:R:3 pbc="T T T"
Cs 2.6462 5.6663 1.4353
Cs 4.4104 9.4439 7.8174
Cs 2.6462 5.6663 17.7108
Cs 4.4104 9.4439 24.0929
Hf 0.8821 1.8888 3.1910
Hf 6.1745 13.2214 22.3372
Tl 2.6462 5.6663 9.5731
Tl 4.4104 9.4439 15.9551
Se 2.3586 3.3768 4.6082
Se 4.6980 7.1544 10.9903
Se 2.9339 7.9558 4.6082
Se 2.9339 3.3768 14.5379
Se 4.1227 11.7333 10.9903
Se 4.1227 7.1544 20.9200
Se 2.3586 7.9558 14.5379
Se 4.6980 11.7333 20.9200
```

The 12 most intense peaks (10 to 80 degrees two-theta), low angle first:
d (Å), 2θ (°), I (rel.)
6.502, 13.6, 50
6.382, 13.9, 45
3.700, 24.1, 100
3.197, 27.9, 64
2.858, 31.3, 17
2.716, 33.0, 41
2.527, 35.5, 17
2.205, 40.9, 20
2.167, 41.7, 21
2.068, 43.8, 25
2.050, 44.2, 25
1.771, 51.6, 18

***

Starting from a PBE-relaxed structure, the powder X-ray diffraction pattern of Y7BiSe5 was simulated for CuKα.
No peak broadening, texture or thermal motion is included.

```
26
Lattice="2.0530 -6.7039 0.0000 2.0530 6.7039 0.0000 0.0000 0.0000 24.3766" Properties=species:S:1:pos:R:3 pbc="T T T"
Y 2.0530 6.4826 18.2824
Y 2.0530 4.8410 0.8922
Y 2.0530 4.8410 11.2961
Y 2.0530 2.4448 16.4795
Y 2.0530 2.4448 20.0854
Y 2.0530 1.2811 2.8374
Y 2.0530 1.2811 9.3509
Y 2.0530 -1.2811 15.0256
Y 2.0530 -1.2811 21.5392
Y 2.0530 -2.4448 4.2912
Y 2.0530 -2.4448 7.8971
Y 2.0530 -4.8410 13.0805
Y 2.0530 -4.8410 23.4844
Y 2.0530 -6.4826 6.0941
Bi 2.0530 2.5847 6.0941
Bi 2.0530 -2.5847 18.2824
Se 2.0530 6.0674 3.4256
Se 2.0530 6.0674 8.7627
Se 2.0530 3.7031 13.9208
Se 2.0530 3.7031 22.6440
Se 2.0530 0.0000 0.0000
Se 2.0530 0.0000 12.1883
Se 2.0530 -3.7031 1.7326
Se 2.0530 -3.7031 10.4557
Se 2.0530 -6.0674 15.6139
Se 2.0530 -6.0674 20.9510
```

The 12 most intense peaks (10 to 80 degrees two-theta), low angle first:
d (Å), 2θ (°), I (rel.)
3.091, 28.9, 51
2.935, 30.5, 100
2.834, 31.6, 54
2.774, 32.3, 17
2.605, 34.4, 16
2.229, 40.5, 36
2.107, 42.9, 18
2.053, 44.1, 31
2.039, 44.4, 25
2.031, 44.6, 22
1.710, 53.6, 18
1.444, 64.5, 15

***

Starting from a PBE-relaxed structure, the powder X-ray diffraction pattern of Ni2RhSe was simulated for CuKα.
No peak broadening, texture or thermal motion is included.

```
4
Lattice="3.7161 0.0000 0.0000 0.0000 3.7265 0.0000 0.0000 0.0000 3.8373" Properties=species:S:1:pos:R:3 pbc="T T T"
Ni 0.0000 0.0000 0.0000
Ni 1.8581 1.8632 0.0000
Rh 0.0000 1.8632 1.9186
Se 1.8581 0.0000 1.9186
```

The 12 most intense peaks (10 to 80 degrees two-theta), low angle first:
d (Å), 2θ (°), I (rel.)
3.837, 23.2, 4
3.721, 23.9, 2
2.671, 33.5, 1
2.631, 34.1, 3
2.170, 41.6, 100
1.919, 47.4, 17
1.863, 48.9, 15
1.858, 49.0, 15
1.550, 59.6, 1
1.337, 70.4, 10
1.335, 70.6, 10
1.316, 71.7, 9

***

Starting from a PBE-relaxed structure, the powder X-ray diffraction pattern of Mg12Cd7Pb was simulated for CuKα.
No peak broadening, texture or thermal motion is included.

```
20
Lattice="-5.2390 5.2390 5.2390 5.2390 -5.2390 5.2390 5.2390 5.2390 -5.2390" Properties=species:S:1:pos:R:3 pbc="T T T"
Mg 5.2390 -2.4415 3.5840
Mg 2.7975 1.6550 0.0000
Mg 7.6805 1.6550 0.0000
Mg 3.5840 5.2390 -2.4415
Mg 1.6550 0.0000 2.7975
Mg 0.0000 2.7975 1.6550
Mg 5.2390 2.4415 3.5840
Mg 3.5840 5.2390 2.4415
Mg 1.6550 0.0000 7.6805
Mg -2.4415 3.5840 5.2390
Mg 2.4415 3.5840 5.2390
Mg 0.0000 7.6805 1.6550
Cd 2.6195 2.6195 -2.6195
Cd 2.6195 -2.6195 2.6195
Cd 5.2390 0.0000 0.0000
Cd -2.6195 2.6195 2.6195
Cd 0.0000 5.2390 0.0000
Cd 0.0000 0.0000 5.2390
Cd 2.6195 2.6195 2.6195
Pb 0.0000 0.0000 0.0000
```

The 12 most intense peaks (10 to 80 degrees two-theta), low angle first:
d (Å), 2θ (°), I (rel.)
7.409, 11.9, 9
3.705, 24.0, 100
3.313, 26.9, 3
2.800, 32.0, 5
2.619, 34.2, 32
2.139, 42.3, 63
1.852, 49.2, 16
1.657, 55.5, 20
1.512, 61.3, 4
1.400, 66.8, 31
1.310, 72.1, 4
1.235, 77.3, 13

***

Starting from a PBE-relaxed structure, the powder X-ray diffraction pattern of GaTeIr was simulated for CuKα.
No peak broadening, texture or thermal motion is included.

```
3
Lattice="3.6059 0.0000 0.0000 0.0000 1.5184 5.9358 0.0000 -1.5184 5.9358" Properties=species:S:1:pos:R:3 pbc="T T T"
Ga 0.0000 0.0000 0.0000
Te 0.0000 0.0000 8.9319
Ir 1.8030 0.0000 6.9828
```

The 12 most intense peaks (10 to 80 degrees two-theta), low angle first:
d (Å), 2θ (°), I (rel.)
5.936, 14.9, 100
3.082, 29.0, 71
2.968, 30.1, 22
2.942, 30.4, 75
2.292, 39.3, 77
2.280, 39.5, 73
2.003, 45.3, 88
1.870, 48.7, 37
1.803, 50.6, 24
1.537, 60.2, 22
1.298, 72.9, 22
1.266, 75.0, 23

***

Starting from a PBE-relaxed structure, the powder X-ray diffraction pattern of YBi3F15 was simulated for CuKα.
No peak broadening, texture or thermal motion is included.

```
38
Lattice="6.0221 0.0000 0.0000 0.0000 11.7583 0.0000 -0.2580 0.0000 9.0296" Properties=species:S:1:pos:R:3 pbc="T T T"
Y 0.9368 2.9396 3.0971
Y 4.8273 8.8187 5.9324
Bi 0.0000 0.0000 0.0000
Bi 0.0000 5.8792 0.0000
Bi 2.4469 0.6984 6.1855
Bi 2.4469 5.1808 6.1855
Bi 3.3172 6.5775 2.8440
Bi 3.3172 11.0600 2.8440
F -0.0556 8.8187 7.8751
F 0.2543 6.3261 7.0557
F 0.2543 11.3114 7.0557
F 0.9182 1.5899 4.8706
F 0.9182 4.2893 4.8706
F 1.0048 8.8187 6.1651
F 1.1192 1.4630 8.6076
F 1.1192 4.4162 8.6076
F 1.5524 6.9768 0.7849
F 1.5524 10.6607 0.7849
F 1.9364 6.7637 4.5067
F 1.9364 10.8738 4.5067
F 2.1527 1.2887 2.3612
F 2.1527 4.5904 2.3612
F 2.8386 8.8187 2.6752
F 2.9256 2.9396 6.3544
F 3.6114 7.1679 6.6684
F 3.6114 10.4696 6.6684
F 3.8277 0.8846 4.5228
F 3.8277 4.9946 4.5228
F 4.2117 1.0977 8.2446
F 4.2117 4.7815 8.2446
F 4.6449 7.3421 0.4220
F 4.6449 10.2954 0.4220
F 4.7594 2.9396 2.8645
F 4.8459 7.4691 4.1590
F 4.8459 10.1684 4.1590
F 5.5098 0.4469 1.9739
F 5.5098 5.4322 1.9739
F 5.8198 2.9396 1.1545
```

The 12 most intense peaks (10 to 80 degrees two-theta), low angle first:
d (Å), 2θ (°), I (rel.)
5.879, 15.1, 100
5.076, 17.5, 31
4.941, 18.0, 89
4.660, 19.0, 44
3.784, 23.5, 99
3.662, 24.3, 49
3.595, 24.8, 56
3.107, 28.7, 78
3.010, 29.7, 60
2.679, 33.4, 52
2.133, 42.4, 27
2.104, 43.0, 25